Starting from DFT lattice parameters and positions (GGA-PBE), the PXRD pattern of La3Er3Tm2 was simulated for CuKα.
No peak broadening, texture or thermal motion is included.

Principal peaks in the range 2θ = 10–90°, in order of rising 2θ:
hkl 1 1 4, 2θ 30.44, intensity 100
hkl 0 2 0, 2θ 34.98, intensity 35
hkl 2 0 0, 2θ 35.92, intensity 16
hkl 2 2 0, 2θ 51.01, intensity 24
hkl 1 3 4, 2θ 59.95, intensity 29
hkl 3 1 4, 2θ 61.20, intensity 14

Crystal structure
```
data_La3Er3Tm2
_cell_length_a 5.0004
_cell_length_b 5.1293
_cell_length_c 20.5205
_cell_angle_alpha 90.00
_cell_angle_beta 90.00
_cell_angle_gamma 90.00
_symmetry_space_group_name_H-M 'I m m m'
_symmetry_Int_Tables_number 71
_symmetry_space_group_name_Hall '-I 2 2'
loop_
_atom_site_label
_atom_site_type_symbol
_atom_site_fract_x
_atom_site_fract_y
_atom_site_fract_z
_atom_site_occupancy
La1 La 0.0000 0.0000 0.0000 1
La2 La 0.0000 0.5000 0.1252 1
Er1 Er 0.0000 0.0000 0.5000 1
Er2 Er 0.0000 0.5000 0.3715 1
Tm1 Tm 0.0000 0.0000 0.2486 1
```

Starting from DFT lattice parameters and positions (GGA-PBE), the PXRD pattern of LaEr2Tm was simulated for CuKα.
No peak broadening, texture or thermal motion is included.

Principal peaks in the range 2θ = 10–90°, in order of rising 2θ:
hkl 0 2 1, 2θ 27.21, intensity 58
hkl 2 0 2, 2θ 30.43, intensity 100
hkl 0 0 4, 2θ 32.08, intensity 40
hkl 0 2 3, 2θ 35.61, intensity 49
hkl 2 2 -1, 2θ 37.84, intensity 66
hkl 2 2 -5, 2θ 55.89, intensity 31

Crystal structure
```
data_LaEr2Tm
_cell_length_a 6.9114
_cell_length_b 6.8557
_cell_length_c 11.1601
_cell_angle_alpha 90.00
_cell_angle_beta 90.05
_cell_angle_gamma 90.00
_symmetry_space_group_name_H-M 'P 1 2/c 1'
_symmetry_Int_Tables_number 13
_symmetry_space_group_name_Hall '-P 2yc'
loop_
_atom_site_label
_atom_site_type_symbol
_atom_site_fract_x
_atom_site_fract_y
_atom_site_fract_z
_atom_site_occupancy
La1 La 0.1266 0.1325 0.3943 1
Er1 Er 0.1265 0.3720 0.8850 1
Er2 Er 0.3752 0.1233 0.1142 1
Tm1 Tm 0.3788 0.3812 0.6144 1
```

Starting from DFT lattice parameters and positions (GGA-PBE), the PXRD pattern of LaEr4Tm2 was simulated for CuKα.
No peak broadening, texture or thermal motion is included.

Principal peaks in the range 2θ = 10–90°, in order of rising 2θ:
hkl 3 1 -1, 2θ 30.34, intensity 36
hkl 2 0 2, 2θ 31.54, intensity 100
hkl 4 0 -3, 2θ 31.82, intensity 47
hkl 6 0 -1, 2θ 33.21, intensity 93
hkl 7 1 -3, 2θ 48.73, intensity 20
hkl 2 2 2, 2θ 62.22, intensity 15

Crystal structure
```
data_LaEr4Tm2
_cell_length_a 16.5088
_cell_length_b 3.5076
_cell_length_c 8.6892
_cell_angle_alpha 90.00
_cell_angle_beta 119.10
_cell_angle_gamma 90.00
_symmetry_space_group_name_H-M 'C 1 2/m 1'
_symmetry_Int_Tables_number 12
_symmetry_space_group_name_Hall '-C 2y'
loop_
_atom_site_label
_atom_site_type_symbol
_atom_site_fract_x
_atom_site_fract_y
_atom_site_fract_z
_atom_site_occupancy
La1 La 0.0000 0.0000 0.0000 1
Er1 Er 0.1416 0.5000 0.8303 1
Er2 Er 0.2061 0.5000 0.2958 1
Tm1 Tm 0.0710 0.0000 0.4322 1
```

Starting from DFT lattice parameters and positions (GGA-PBE), the PXRD pattern of LaEr10Tm4 was simulated for CuKα.
No peak broadening, texture or thermal motion is included.

Principal peaks in the range 2θ = 10–90°, in order of rising 2θ:
hkl 1 0 3, 2θ 26.84, intensity 30
hkl 1 3 0, 2θ 29.04, intensity 81
hkl 1 2 3, 2θ 32.65, intensity 100
hkl 1 3 2, 2θ 33.70, intensity 45
hkl 4 2 0, 2θ 41.54, intensity 27
hkl 3 2 3, 2θ 42.15, intensity 24

Crystal structure
```
data_LaEr10Tm4
_cell_length_a 9.7231
_cell_length_b 9.7231
_cell_length_c 10.6033
_cell_angle_alpha 90.00
_cell_angle_beta 90.00
_cell_angle_gamma 90.00
_symmetry_space_group_name_H-M 'I 4/m'
_symmetry_Int_Tables_number 87
_symmetry_space_group_name_Hall '-I 4'
loop_
_atom_site_label
_atom_site_type_symbol
_atom_site_fract_x
_atom_site_fract_y
_atom_site_fract_z
_atom_site_occupancy
La1 La 0.0000 0.0000 0.0000 1
Er1 Er 0.0000 0.5000 0.2500 1
Er2 Er 0.1230 0.7808 0.1687 1
Tm1 Tm 0.0529 0.7121 0.5000 1
```

Starting from DFT lattice parameters and positions (GGA-PBE), the PXRD pattern of La2Er2Tm7 was simulated for CuKα.
No peak broadening, texture or thermal motion is included.

Principal peaks in the range 2θ = 10–90°, in order of rising 2θ:
hkl 0 1 5, 2θ 27.05, intensity 14
hkl 1 1 2, 2θ 28.19, intensity 13
hkl 0 4 0, 2θ 31.19, intensity 52
hkl 1 2 3, 2θ 33.47, intensity 100
hkl 1 6 3, 2θ 56.97, intensity 24
hkl 2 4 0, 2θ 61.23, intensity 16

Crystal structure
```
data_La2Er2Tm7
_cell_length_a 3.5652
_cell_length_b 11.4684
_cell_length_c 17.2101
_cell_angle_alpha 90.00
_cell_angle_beta 90.00
_cell_angle_gamma 90.00
_symmetry_space_group_name_H-M 'I m m m'
_symmetry_Int_Tables_number 71
_symmetry_space_group_name_Hall '-I 2 2'
loop_
_atom_site_label
_atom_site_type_symbol
_atom_site_fract_x
_atom_site_fract_y
_atom_site_fract_z
_atom_site_occupancy
La1 La 0.0000 0.2192 0.0000 1
Er1 Er 0.0000 0.5000 0.1967 1
Tm1 Tm 0.0000 0.0000 0.1282 1
Tm2 Tm 0.0000 0.0000 0.5000 1
Tm3 Tm 0.0000 0.2504 0.3305 1
```

Starting from DFT lattice parameters and positions (GGA-PBE), the PXRD pattern of LaEr2Tm6 was simulated for CuKα.
No peak broadening, texture or thermal motion is included.

Principal peaks in the range 2θ = 10–90°, in order of rising 2θ:
hkl 1 0 0, 2θ 29.01, intensity 52
hkl 0 0 9, 2θ 31.07, intensity 52
hkl 1 0 4, 2θ 32.20, intensity 76
hkl 1 0 5, 2θ 33.88, intensity 100
hkl 1 1 0, 2θ 51.42, intensity 42
hkl 1 1 9, 2θ 61.31, intensity 46

Crystal structure
```
data_LaEr2Tm6
_cell_length_a 3.5538
_cell_length_b 3.5538
_cell_length_c 25.9029
_cell_angle_alpha 90.00
_cell_angle_beta 90.00
_cell_angle_gamma 120.00
_symmetry_space_group_name_H-M 'P -6 m 2'
_symmetry_Int_Tables_number 187
_symmetry_space_group_name_Hall 'P -6 2'
loop_
_atom_site_label
_atom_site_type_symbol
_atom_site_fract_x
_atom_site_fract_y
_atom_site_fract_z
_atom_site_occupancy
La1 La 0.0000 0.0000 0.0000 1
Er1 Er 0.3333 0.6667 0.3297 1
Tm1 Tm 0.0000 0.0000 0.2217 1
Tm2 Tm 0.0000 0.0000 0.4357 1
Tm3 Tm 0.3333 0.6667 0.1155 1
```

Starting from DFT lattice parameters and positions (GGA-PBE), the PXRD pattern of La2Er3Tm was simulated for CuKα.
No peak broadening, texture or thermal motion is included.

Principal peaks in the range 2θ = 10–90°, in order of rising 2θ:
hkl 1 0 3, 2θ 30.47, intensity 99
hkl 2 1 0, 2θ 30.61, intensity 98
hkl 1 2 3, 2θ 35.41, intensity 100
hkl 3 1 3, 2θ 50.96, intensity 48
hkl 3 -1 3, 2θ 60.43, intensity 21
hkl 3 3 3, 2θ 60.66, intensity 35

Crystal structure
```
data_La2Er3Tm
_cell_length_a 6.1939
_cell_length_b 6.2126
_cell_length_c 10.7581
_cell_angle_alpha 73.43
_cell_angle_beta 89.80
_cell_angle_gamma 80.41
_symmetry_space_group_name_H-M 'P -1'
_symmetry_Int_Tables_number 2
_symmetry_space_group_name_Hall '-P 1'
loop_
_atom_site_label
_atom_site_type_symbol
_atom_site_fract_x
_atom_site_fract_y
_atom_site_fract_z
_atom_site_occupancy
La1 La 0.1245 0.2502 0.1246 1
La2 La 0.3754 0.7504 0.3750 1
Er1 Er 0.1214 0.2506 0.4593 1
Er2 Er 0.3711 0.7500 0.7096 1
Er3 Er 0.3788 0.7501 0.0408 1
Tm1 Tm 0.1283 0.2499 0.7905 1
```

Starting from DFT lattice parameters and positions (GGA-PBE), the PXRD pattern of LaEr5Tm5 was simulated for CuKα.
No peak broadening, texture or thermal motion is included.

Principal peaks in the range 2θ = 10–90°, in order of rising 2θ:
hkl 1 0 3, 2θ 28.86, intensity 100
hkl 1 1 0, 2θ 29.72, intensity 84
hkl 2 0 1, 2θ 35.34, intensity 39
hkl 1 0 4, 2θ 35.59, intensity 37
hkl 2 0 2, 2θ 37.95, intensity 47
hkl 2 1 3, 2θ 52.21, intensity 39

Crystal structure
```
data_LaEr5Tm5
_cell_length_a 6.0126
_cell_length_b 6.0126
_cell_length_c 11.5349
_cell_angle_alpha 90.00
_cell_angle_beta 90.00
_cell_angle_gamma 120.00
_symmetry_space_group_name_H-M 'P -6 m 2'
_symmetry_Int_Tables_number 187
_symmetry_space_group_name_Hall 'P -6 2'
loop_
_atom_site_label
_atom_site_type_symbol
_atom_site_fract_x
_atom_site_fract_y
_atom_site_fract_z
_atom_site_occupancy
La1 La 0.0000 0.0000 0.0000 1
Er1 Er 0.0000 0.0000 0.3288 1
Er2 Er 0.3333 0.6667 0.1587 1
Er3 Er 0.6667 0.3333 0.0000 1
Tm1 Tm 0.0004 0.5002 0.5000 1
Tm2 Tm 0.6667 0.3333 0.2644 1
```

Starting from DFT lattice parameters and positions (GGA-PBE), the PXRD pattern of La3Er8Tm4 was simulated for CuKα.
No peak broadening, texture or thermal motion is included.

Principal peaks in the range 2θ = 10–90°, in order of rising 2θ:
hkl 0 4 0, 2θ 27.80, intensity 36
hkl 4 0 -2, 2θ 30.82, intensity 100
hkl 4 0 0, 2θ 31.02, intensity 49
hkl 2 4 -1, 2θ 31.88, intensity 29
hkl 4 4 -2, 2θ 41.98, intensity 46
hkl 4 4 0, 2θ 42.13, intensity 23

Crystal structure
```
data_La3Er8Tm4
_cell_length_a 13.3440
_cell_length_b 12.8375
_cell_length_c 6.7144
_cell_angle_alpha 90.00
_cell_angle_beta 120.20
_cell_angle_gamma 90.00
_symmetry_space_group_name_H-M 'C 1 2/m 1'
_symmetry_Int_Tables_number 12
_symmetry_space_group_name_Hall '-C 2y'
loop_
_atom_site_label
_atom_site_type_symbol
_atom_site_fract_x
_atom_site_fract_y
_atom_site_fract_z
_atom_site_occupancy
La1 La 0.0000 0.0000 0.0000 1
La2 La 0.2500 0.2500 0.0000 1
Er1 Er 0.0000 0.1391 0.5000 1
Er2 Er 0.0000 0.2486 0.0000 1
Er3 Er 0.2362 0.0000 0.9728 1
Er4 Er 0.2401 0.0000 0.5001 1
Tm1 Tm 0.0000 0.5000 0.0000 1
Tm2 Tm 0.0000 0.5000 0.5000 1
Tm3 Tm 0.2500 0.2500 0.5000 1
```

Starting from DFT lattice parameters and positions (GGA-PBE), the PXRD pattern of La4ErTm4 was simulated for CuKα.
No peak broadening, texture or thermal motion is included.

Principal peaks in the range 2θ = 10–90°, in order of rising 2θ:
hkl 3 0 1, 2θ 30.38, intensity 100
hkl 0 0 2, 2θ 35.22, intensity 51
hkl 3 3 2, 2θ 50.67, intensity 36
hkl 3 0 3, 2θ 60.14, intensity 14
hkl 6 3 1, 2θ 60.27, intensity 29
hkl 6 0 2, 2θ 63.21, intensity 12

Crystal structure
```
data_La4ErTm4
_cell_length_a 10.8010
_cell_length_b 10.8010
_cell_length_c 5.1051
_cell_angle_alpha 90.00
_cell_angle_beta 90.00
_cell_angle_gamma 90.00
_symmetry_space_group_name_H-M 'I 4/m m m'
_symmetry_Int_Tables_number 139
_symmetry_space_group_name_Hall '-I 4 2'
loop_
_atom_site_label
_atom_site_type_symbol
_atom_site_fract_x
_atom_site_fract_y
_atom_site_fract_z
_atom_site_occupancy
La1 La 0.1669 0.1669 0.0000 1
Er1 Er 0.0000 0.0000 0.5000 1
Tm1 Tm 0.0000 0.3370 0.5000 1
```

Starting from DFT lattice parameters and positions (GGA-PBE), the PXRD pattern of La2ErTm4 was simulated for CuKα.
No peak broadening, texture or thermal motion is included.

Principal peaks in the range 2θ = 10–90°, in order of rising 2θ:
hkl 2 1 1, 2θ 29.84, intensity 38
hkl 0 1 3, 2θ 30.86, intensity 64
hkl 1 -2 0, 2θ 31.96, intensity 51
hkl 1 3 1, 2θ 32.19, intensity 100
hkl 1 -1 3, 2θ 32.44, intensity 49
hkl 0 4 -2, 2θ 48.78, intensity 20

Crystal structure
```
data_La2ErTm4
_cell_length_a 5.9900
_cell_length_b 8.5660
_cell_length_c 9.8495
_cell_angle_alpha 85.70
_cell_angle_beta 73.12
_cell_angle_gamma 69.84
_symmetry_space_group_name_H-M 'P 1'
_symmetry_Int_Tables_number 1
_symmetry_space_group_name_Hall 'P 1'
loop_
_atom_site_label
_atom_site_type_symbol
_atom_site_fract_x
_atom_site_fract_y
_atom_site_fract_z
_atom_site_occupancy
La1 La 0.0000 0.0000 0.0000 1
La2 La 0.0001 0.0659 0.6399 1
La3 La 0.7196 0.9350 0.3612 1
La4 La 0.8265 0.5023 0.5003 1
Er1 Er 0.1171 0.5669 0.1379 1
Er2 Er 0.8184 0.4337 0.8627 1
Tm1 Tm 0.1971 0.1471 0.2718 1
Tm2 Tm 0.2194 0.6394 0.7773 1
Tm3 Tm 0.2757 0.7115 0.4185 1
Tm4 Tm 0.3994 0.2896 0.5758 1
Tm5 Tm 0.4173 0.2242 0.9203 1
Tm6 Tm 0.5645 0.7785 0.0790 1
Tm7 Tm 0.5978 0.8569 0.7311 1
Tm8 Tm 0.6473 0.3616 0.2204 1
```

Starting from DFT lattice parameters and positions (GGA-PBE), the PXRD pattern of LaEr5Tm3 was simulated for CuKα.
No peak broadening, texture or thermal motion is included.

Principal peaks in the range 2θ = 10–90°, in order of rising 2θ:
hkl 0 2 0, 2θ 22.46, intensity 25
hkl 3 1 1, 2θ 30.44, intensity 29
hkl 2 2 1, 2θ 31.27, intensity 40
hkl 2 0 -4, 2θ 31.82, intensity 100
hkl 4 2 -3, 2θ 32.94, intensity 42
hkl 4 0 1, 2θ 35.18, intensity 29

Crystal structure
```
data_LaEr5Tm3
_cell_length_a 16.9046
_cell_length_b 7.9188
_cell_length_c 12.0706
_cell_angle_alpha 90.00
_cell_angle_beta 130.66
_cell_angle_gamma 90.00
_symmetry_space_group_name_H-M 'C 1 2/m 1'
_symmetry_Int_Tables_number 12
_symmetry_space_group_name_Hall '-C 2y'
loop_
_atom_site_label
_atom_site_type_symbol
_atom_site_fract_x
_atom_site_fract_y
_atom_site_fract_z
_atom_site_occupancy
La1 La 0.2373 0.0000 0.1386 1
Er1 Er 0.0000 0.3227 0.0000 1
Er2 Er 0.0644 0.2075 0.7799 1
Er3 Er 0.1222 0.0000 0.5683 1
Er4 Er 0.2007 0.5000 0.0709 1
Tm1 Tm 0.0000 0.0000 0.0000 1
Tm2 Tm 0.0000 0.5000 0.5000 1
Tm3 Tm 0.1220 0.5000 0.3196 1
Tm4 Tm 0.1623 0.0000 0.3380 1
```

Starting from DFT lattice parameters and positions (GGA-PBE), the PXRD pattern of LaEr6Tm6 was simulated for CuKα.
No peak broadening, texture or thermal motion is included.

Principal peaks in the range 2θ = 10–90°, in order of rising 2θ:
hkl 1 1 0, 2θ 27.16, intensity 22
hkl 0 0 4, 2θ 31.44, intensity 100
hkl 2 0 2, 2θ 35.26, intensity 81
hkl 1 1 6, 2θ 55.91, intensity 18
hkl 2 2 0, 2θ 56.03, intensity 21
hkl 2 2 4, 2θ 65.65, intensity 17

Crystal structure
```
data_LaEr6Tm6
_cell_length_a 6.5656
_cell_length_b 6.5656
_cell_length_c 11.4016
_cell_angle_alpha 90.00
_cell_angle_beta 90.00
_cell_angle_gamma 120.00
_symmetry_space_group_name_H-M 'P 6/m m m'
_symmetry_Int_Tables_number 191
_symmetry_space_group_name_Hall '-P 6 2'
loop_
_atom_site_label
_atom_site_type_symbol
_atom_site_fract_x
_atom_site_fract_y
_atom_site_fract_z
_atom_site_occupancy
La1 La 0.0000 0.0000 0.0000 1
Er1 Er 0.0000 0.0000 0.3521 1
Er2 Er 0.3333 0.6667 0.0000 1
Er3 Er 0.3333 0.6667 0.5000 1
Tm1 Tm 0.0000 0.5000 0.2446 1
```